Calculated powder diffraction line list
Compound: NaPr4I7N2
Radiation: Cu Kα X-rays
Structure: DFT lattice parameters and positions (PBE)

Cell and atoms:
a = 14.3474 Å, b = 11.0852 Å, c = 12.1461 Å
α = 90.00°, β = 90.00°, γ = 90.00°
Atoms (fractional coordinates):
Na (0.0986, 0.0526, 0.0000)
Na (0.4014, 0.5526, 0.5000)
Na (0.5986, 0.4474, 0.0000)
Na (0.9014, 0.9474, 0.5000)
Pr (0.0835, 0.3742, 0.3244)
Pr (0.0855, 0.6248, 0.5582)
Pr (0.0885, 0.3946, 0.8010)
Pr (0.1031, 0.5852, 0.0653)
Pr (0.3969, 0.0852, 0.5653)
Pr (0.4115, 0.8946, 0.3010)
Pr (0.4145, 0.1248, 0.0582)
Pr (0.4165, 0.8742, 0.8244)
Pr (0.5835, 0.1258, 0.3244)
Pr (0.5855, 0.8752, 0.5582)
Pr (0.5885, 0.1054, 0.8010)
Pr (0.6031, 0.9148, 0.0653)
Pr (0.8969, 0.4148, 0.5653)
Pr (0.9115, 0.6054, 0.3010)
Pr (0.9145, 0.3752, 0.0582)
Pr (0.9165, 0.6258, 0.8244)
I (0.0162, 0.8517, 0.7030)
I (0.0230, 0.1860, 0.5329)
I (0.0472, 0.8227, 0.3558)
I (0.2071, 0.3114, 0.0382)
I (0.2284, 0.6313, 0.8363)
I (0.2318, 0.4030, 0.5751)
I (0.2487, 0.5682, 0.2803)
I (0.2513, 0.0682, 0.7803)
I (0.2682, 0.9030, 0.0751)
I (0.2716, 0.1313, 0.3363)
I (0.2929, 0.8114, 0.5382)
I (0.4528, 0.3227, 0.8558)
I (0.4770, 0.6860, 0.0329)
I (0.4838, 0.3517, 0.2030)
I (0.5162, 0.6483, 0.7030)
I (0.5230, 0.3140, 0.5329)
I (0.5472, 0.6773, 0.3558)
I (0.7071, 0.1886, 0.0382)
I (0.7284, 0.8687, 0.8363)
I (0.7318, 0.0970, 0.5751)
I (0.7487, 0.9318, 0.2803)
I (0.7513, 0.4318, 0.7803)
I (0.7682, 0.5970, 0.0751)
I (0.7716, 0.3687, 0.3363)
I (0.7929, 0.6886, 0.5382)
I (0.9528, 0.1773, 0.8558)
I (0.9770, 0.8140, 0.0329)
I (0.9838, 0.1483, 0.2030)
N (0.0034, 0.4849, 0.1877)
N (0.0038, 0.4948, 0.9369)
N (0.4962, 0.9948, 0.4369)
N (0.4966, 0.9849, 0.6877)
N (0.5034, 0.0151, 0.1877)
N (0.5038, 0.0052, 0.9369)
N (0.9962, 0.5052, 0.4369)
N (0.9966, 0.5151, 0.6877)

Peak list (6 most intense, 15° ≤ 2θ ≤ 90°, by angle)
2θ = 26.53°, d 3.360, rel. 18, hkl 2 1 3; 2θ = 27.99°, d 3.188, rel. 16, hkl 1 2 3; 2θ = 28.70°, d 3.110, rel. 100, hkl 3 2 2; 2θ = 29.41°, d 3.037, rel. 22, hkl 0 0 4; 2θ = 30.58°, d 2.924, rel. 14, hkl 3 3 0; 2θ = 32.29°, d 2.773, rel. 15, hkl 0 4 0